1.
Computed powder X-ray diffraction pattern
Compound: Li3Mn4B4O12
Radiation: Cu Kα (λ = 1.5418 Å)
Structure: a GGA+U-relaxed structure

Crystal structure
Cell: 5.287 9.116 11.543 Å, 90.00 116.14 90.00°
Positions (direct):
Li1 0.000 0.230 0.000
Li2 0.000 0.770 0.500
Li3 0.057 0.261 0.753
Li4 0.057 0.739 0.253
Li5 0.506 0.266 0.525
Li6 0.506 0.734 0.025
Mn1 0.052 0.399 0.228
Mn2 0.052 0.601 0.728
Mn3 0.473 0.420 0.980
Mn4 0.473 0.580 0.480
Mn5 0.516 0.062 0.722
Mn6 0.516 0.938 0.222
Mn7 0.952 0.115 0.464
Mn8 0.952 0.885 0.964
B1 0.029 0.060 0.209
B2 0.029 0.940 0.709
B3 0.440 0.075 0.966
B4 0.440 0.925 0.466
B5 0.541 0.412 0.724
B6 0.541 0.588 0.224
B7 0.957 0.428 0.475
B8 0.957 0.572 0.975
O1 0.110 0.077 0.677
O2 0.110 0.923 0.177
O3 0.126 0.186 0.184
O4 0.126 0.814 0.684
O5 0.176 0.402 0.439
O6 0.176 0.598 0.939
O7 0.298 0.202 0.951
O8 0.298 0.798 0.451
O9 0.331 0.422 0.767
O10 0.331 0.578 0.267
O11 0.398 0.049 0.530
O12 0.398 0.951 0.030
O13 0.633 0.465 0.183
O14 0.633 0.535 0.683
O15 0.635 0.056 0.914
O16 0.635 0.944 0.414
O17 0.652 0.275 0.717
O18 0.652 0.725 0.217
O19 0.797 0.312 0.481
O20 0.797 0.688 0.981
O21 0.853 0.056 0.270
O22 0.853 0.944 0.770
O23 0.905 0.431 0.006
O24 0.905 0.569 0.506

Peak list (10 most intense, 10 to 90 degrees two-theta, sorted by position)
19.5°, intensity 77, hkl 0 2 0
21.3°, intensity 100, hkl 1 1 -2
25.8°, intensity 57, hkl 1 1 1
26.2°, intensity 32, hkl 1 1 -3
33.9°, intensity 22, hkl 2 0 -2
34.0°, intensity 53, hkl 1 3 -1
34.6°, intensity 80, hkl 0 0 4
40.2°, intensity 42, hkl 2 2 -1
40.5°, intensity 23, hkl 0 4 1
48.5°, intensity 24, hkl 1 1 -6

***

2.
Computed powder X-ray diffraction pattern
Compound: MgV6H6O18
Radiation: Cu Kα (λ = 1.5418 Å)
Structure: a GGA+U-relaxed structure

Crystal structure
Cell: 5.137 8.606 7.698 Å, 90.00 102.48 90.00°
Positions (direct):
Mg1 0.000 0.000 0.000
V1 0.204 0.210 0.684
V2 0.204 0.790 0.684
V3 0.287 0.304 0.320
V4 0.287 0.696 0.320
V5 0.699 0.000 0.601
V6 0.783 0.500 0.404
H1 0.468 0.000 0.901
H2 0.655 0.093 0.177
H3 0.655 0.907 0.177
H4 0.671 0.408 0.908
H5 0.671 0.592 0.908
H6 0.927 0.500 0.057
O1 0.049 0.338 0.503
O2 0.049 0.662 0.503
O3 0.100 0.500 0.234
O4 0.125 0.180 0.167
O5 0.125 0.820 0.167
O6 0.389 0.000 0.770
O7 0.391 0.311 0.844
O8 0.391 0.689 0.844
O9 0.426 0.167 0.512
O10 0.426 0.833 0.512
O11 0.545 0.500 0.523
O12 0.582 0.334 0.248
O13 0.582 0.666 0.248
O14 0.647 0.000 0.100
O15 0.798 0.500 0.928
O16 0.895 0.000 0.456
O17 0.924 0.148 0.776
O18 0.924 0.852 0.776

Peak list (10 most intense, 10 to 90 degrees two-theta, sorted by position)
11.8°, intensity 96, hkl 0 0 1
15.7°, intensity 76, hkl 0 1 1
17.7°, intensity 17, hkl 1 0 0
25.9°, intensity 33, hkl 0 1 2
26.4°, intensity 22, hkl 1 0 -2
27.3°, intensity 100, hkl 1 2 0
31.4°, intensity 29, hkl 1 2 1
31.6°, intensity 26, hkl 0 2 2
38.6°, intensity 23, hkl 2 0 -2
45.8°, intensity 51, hkl 1 3 2